Entry 1:
Diffraction record for Mg6NbCoO8. The powder X-ray diffraction pattern is simulated, not measured: it uses a crystal structure in the Materials Project, relaxed with GGA+U and Cu Kα (weighted mean of Kα1 and Kα2).
Peak positions follow from Bragg's law for the DFT cell and can differ from measured ones.

Structural model:
Cell: 4.283 4.283 8.834 Å, 90.00 90.00 90.00°
Space group P4/mmm (No. 123)
Unique sites:
Mg  0.000  0.000  0.000 [1 per cell]
Mg  0.000  0.000  0.500 [1 per cell]
Mg  0.000  0.500  0.233 [4 per cell]
Nb  0.500  0.500  0.500 [1 per cell]
Co  0.500  0.500  0.000 [1 per cell]
O  0.000  0.000  0.252 [2 per cell]
O  0.000  0.500  0.000 [2 per cell]
O  0.000  0.500  0.500 [2 per cell]
O  0.500  0.500  0.255 [2 per cell]

Most intense lines, 15 to 90 degrees two-theta, in order of falling intensity:
2θ = 42.2°, I 100; 2θ = 60.2°, I 59; 2θ = 40.9°, I 53; 2θ = 36.0°, I 52; 2θ = 20.7°, I 39; 2θ = 29.0°, I 33; 2θ = 61.2°, I 29; 2θ = 76.2°, I 26; 2θ = 20.1°, I 22; 2θ = 73.1°, I 16



Entry 2:
Diffraction record for MgNb4Co2O12. The powder X-ray diffraction pattern is simulated, not measured: it uses a crystal structure in the Materials Project, relaxed with GGA+U and Cu Kα (weighted mean of Kα1 and Kα2).
Peak positions follow from Bragg's law for the DFT cell and can differ from measured ones.

Structural model:
Cell: 5.992 6.018 7.487 Å, 74.57 74.94 85.07°
Space group P1 (No. 1)
Unique sites:
Mg  0.000  0.000  0.000 [1 per cell]
Nb  0.243  0.768  0.479 [1 per cell]
Nb  0.349  0.631  0.986 [1 per cell]
Nb  0.628  0.026  0.682 [1 per cell]
Nb  0.962  0.369  0.302 [1 per cell]
Co  0.534  0.058  0.216 [1 per cell]
Co  0.915  0.449  0.776 [1 per cell]
O  0.007  0.993  0.489 [1 per cell]
O  0.081  0.481  0.500 [1 per cell]
O  0.207  0.605  0.776 [1 per cell]
O  0.305  0.317  0.161 [1 per cell]
O  0.324  0.010  0.845 [1 per cell]
O  0.378  0.774  0.200 [1 per cell]
O  0.534  0.893  0.487 [1 per cell]
O  0.663  0.324  0.497 [1 per cell]
O  0.671  0.675  0.828 [1 per cell]
O  0.795  0.132  0.832 [1 per cell]
O  0.847  0.214  0.151 [1 per cell]
O  0.977  0.671  0.135 [1 per cell]

Most intense lines, 15 to 90 degrees two-theta, in order of falling intensity:
2θ = 21.9°, I 100; 2θ = 26.9°, I 82; 2θ = 33.1°, I 48; 2θ = 34.4°, I 42; 2θ = 36.4°, I 30; 2θ = 25.4°, I 16; 2θ = 54.0°, I 16; 2θ = 17.3°, I 16; 2θ = 17.2°, I 15; 2θ = 53.3°, I 14



Entry 3:
Diffraction record for MgNb4Co2O12. The powder X-ray diffraction pattern is simulated, not measured: it uses a crystal structure in the Materials Project, relaxed with GGA+U and Cu Kα (weighted mean of Kα1 and Kα2).
Peak positions follow from Bragg's law for the DFT cell and can differ from measured ones.

Structural model:
Cell: 4.978 8.802 5.108 Å, 90.00 90.09 90.00°
Space group P2 (No. 3)
Unique sites:
Mg  0.000  0.000  0.000 [1 per cell]
Nb  0.000  0.187  0.500 [1 per cell]
Nb  0.000  0.812  0.500 [1 per cell]
Nb  0.500  0.327  0.000 [1 per cell]
Nb  0.500  0.674  0.000 [1 per cell]
Co  0.000  0.499  0.500 [1 per cell]
Co  0.500  0.999  0.000 [1 per cell]
O  0.195  0.999  0.666 [2 per cell]
O  0.236  0.675  0.694 [2 per cell]
O  0.237  0.323  0.693 [2 per cell]
O  0.252  0.169  0.180 [2 per cell]
O  0.252  0.830  0.180 [2 per cell]
O  0.307  0.500  0.170 [2 per cell]

Most intense lines, 15 to 90 degrees two-theta, in order of falling intensity:
2θ = 25.0°, I 100; 2θ = 51.4°, I 36; 2θ = 35.3°, I 30; 2θ = 35.5°, I 30; 2θ = 50.8°, I 25; 2θ = 51.3°, I 22; 2θ = 35.1°, I 13; 2θ = 63.1°, I 12; 2θ = 36.1°, I 9; 2θ = 57.2°, I 8



Entry 4:
Diffraction record for Mg14NbCoO16. The powder X-ray diffraction pattern is simulated, not measured: it uses a crystal structure in the Materials Project, relaxed with GGA+U and Cu Kα (weighted mean of Kα1 and Kα2).
Peak positions follow from Bragg's law for the DFT cell and can differ from measured ones.

Structural model:
Cell: 8.616 8.616 4.272 Å, 90.00 90.00 90.00°
Space group P4/mmm (No. 123)
Unique sites:
Mg  0.000  0.244  0.000 [4 per cell]
Mg  0.000  0.500  0.500 [2 per cell]
Mg  0.240  0.500  0.000 [4 per cell]
Mg  0.242  0.242  0.500 [4 per cell]
Nb  0.500  0.500  0.500 [1 per cell]
Co  0.000  0.000  0.500 [1 per cell]
O  0.000  0.000  0.000 [1 per cell]
O  0.000  0.262  0.500 [4 per cell]
O  0.000  0.500  0.000 [2 per cell]
O  0.246  0.500  0.500 [4 per cell]
O  0.251  0.251  0.000 [4 per cell]
O  0.500  0.500  0.000 [1 per cell]

Most intense lines, 15 to 90 degrees two-theta, in order of falling intensity:
2θ = 41.9°, I 100; 2θ = 61.1°, I 56; 2θ = 42.3°, I 49; 2θ = 36.2°, I 33; 2θ = 60.8°, I 28; 2θ = 76.9°, I 26; 2θ = 25.5°, I 14; 2θ = 20.6°, I 13; 2θ = 72.9°, I 12; 2θ = 29.4°, I 10



Entry 5:
Diffraction record for MgNb4Co2O12. The powder X-ray diffraction pattern is simulated, not measured: it uses a crystal structure in the Materials Project, relaxed with GGA+U and Cu Kα (weighted mean of Kα1 and Kα2).
Peak positions follow from Bragg's law for the DFT cell and can differ from measured ones.

Structural model:
Cell: 5.790 5.889 7.680 Å, 69.67 69.76 75.29°
Space group P1 (No. 1)
Unique sites:
Mg  0.000  0.000  0.000 [1 per cell]
Nb  0.066  0.553  0.898 [1 per cell]
Nb  0.104  0.603  0.400 [1 per cell]
Nb  0.433  0.935  0.598 [1 per cell]
Nb  0.725  0.269  0.279 [1 per cell]
Co  0.449  0.922  0.098 [1 per cell]
Co  0.703  0.277  0.751 [1 per cell]
O  0.050  0.923  0.765 [1 per cell]
O  0.113  0.221  0.086 [1 per cell]
O  0.175  0.688  0.126 [1 per cell]
O  0.306  0.808  0.407 [1 per cell]
O  0.340  0.287  0.438 [1 per cell]
O  0.423  0.566  0.759 [1 per cell]
O  0.493  0.025  0.790 [1 per cell]
O  0.659  0.168  0.069 [1 per cell]
O  0.734  0.635  0.084 [1 per cell]
O  0.788  0.877  0.426 [1 per cell]
O  0.837  0.373  0.445 [1 per cell]
O  0.973  0.471  0.717 [1 per cell]

Most intense lines, 15 to 90 degrees two-theta, in order of falling intensity:
2θ = 25.0°, I 100; 2θ = 25.3°, I 87; 2θ = 34.5°, I 64; 2θ = 50.7°, I 39; 2θ = 34.7°, I 32; 2θ = 34.9°, I 30; 2θ = 51.2°, I 21; 2θ = 50.3°, I 19; 2θ = 35.6°, I 18; 2θ = 50.1°, I 17



Entry 6:
Diffraction record for Mg14NbCoO16. The powder X-ray diffraction pattern is simulated, not measured: it uses a crystal structure in the Materials Project, relaxed with GGA+U and Cu Kα (weighted mean of Kα1 and Kα2).
Peak positions follow from Bragg's law for the DFT cell and can differ from measured ones.

Structural model:
Cell: 4.269 8.624 8.655 Å, 90.00 90.00 90.00°
Space group Pmmm (No. 47)
Unique sites:
Mg  0.000  0.000  0.000 [1 per cell]
Mg  0.000  0.000  0.500 [1 per cell]
Mg  0.000  0.249  0.242 [4 per cell]
Mg  0.500  0.000  0.247 [2 per cell]
Mg  0.500  0.242  0.500 [2 per cell]
Mg  0.500  0.253  0.000 [2 per cell]
Mg  0.500  0.500  0.234 [2 per cell]
Nb  0.000  0.500  0.500 [1 per cell]
Co  0.000  0.500  0.000 [1 per cell]
O  0.000  0.000  0.252 [2 per cell]
O  0.000  0.236  0.000 [2 per cell]
O  0.000  0.243  0.500 [2 per cell]
O  0.000  0.500  0.252 [2 per cell]
O  0.500  0.000  0.000 [1 per cell]
O  0.500  0.000  0.500 [1 per cell]
O  0.500  0.252  0.251 [4 per cell]
O  0.500  0.500  0.000 [1 per cell]
O  0.500  0.500  0.500 [1 per cell]

Most intense lines, 15 to 90 degrees two-theta, in order of falling intensity:
2θ = 41.7°, I 100; 2θ = 41.9°, I 100; 2θ = 42.3°, I 97; 2θ = 36.2°, I 66; 2θ = 60.6°, I 57; 2θ = 61.1°, I 56; 2θ = 61.0°, I 56; 2θ = 76.7°, I 51; 2θ = 20.6°, I 26; 2θ = 31.2°, I 23



Question: Which formula does entry 5 have?
Answer: MgNb4Co2O12